Structure and calculated PXRD pattern of Li2TiMoO6 (a crystal structure in Alexandria, relaxed with PBE+U; CuKα).

Main lines, sorted by position (5 to 70 degrees two-theta):
Position (°2θ), d [Å], I_rel, h k l
16.47, 5.382, 20, 1 0 0
20.09, 4.419, 76, 0 0 1
23.38, 3.806, 100, 1 1 0
31.01, 2.884, 52, 1 1 1
33.30, 2.691, 20, 2 0 0
47.59, 1.911, 25, 1 1 2
47.80, 1.903, 28, 2 2 0
52.35, 1.748, 20, 2 2 1
53.87, 1.702, 17, 3 1 0
58.08, 1.588, 17, 3 1 1

Structure:
Lattice parameters (Å, degrees): 5.3819 5.3819 4.4190 90.00 90.00 90.00
Space group P4mm (No. 99)
Symmetry-distinct sites (fractional):
1 Li 0.0000 0.5000 0.0000
2 Ti 0.0000 0.0000 0.7074
3 Mo 0.5000 0.5000 0.7107
4 O 0.0000 0.0000 0.3251
5 O 0.2551 0.2551 0.8159
6 O 0.5000 0.5000 0.3171